1.
The following is a theoretical powder diffractogram of TiS2. It was derived from a DFT-relaxed cell (GGA-PBE, the Materials Project), using λ = 1.5418 Å (Cu Kα).
Neutral-atom scattering factors, no anomalous dispersion.

Atomic structure:
```
12
Lattice="6.6275 0.0000 0.0000 0.0000 3.6042 0.0000 0.0000 0.0000 7.9615" Properties=species:S:1:pos:R:3 pbc="T T T"
Ti 1.6233 0.9011 0.9110
Ti 1.6904 2.7032 4.8917
Ti 4.9371 0.9011 3.0698
Ti 5.0042 2.7032 7.0505
S 0.1576 2.7032 2.7829
S 0.8949 2.7032 7.2985
S 2.4189 0.9011 3.3177
S 3.1561 0.9011 6.7637
S 3.4714 2.7032 1.1979
S 4.2087 2.7032 4.6438
S 5.7326 0.9011 0.6630
S 6.4699 0.9011 5.1786
```

The 12 most intense peaks (2θ from 5° to 70°), by angle:
two_theta, Rel. int.
26.11, 18
36.25, 92
36.85, 26
38.60, 100
42.29, 43
42.46, 21
44.55, 18
45.58, 34
47.04, 45
49.74, 24
50.65, 39
50.84, 34

2.
The following is a theoretical powder diffractogram of PrSiPd. It was derived from a DFT-relaxed cell (GGA-PBE, the Materials Project), using λ = 1.5418 Å (Cu Kα).
Neutral-atom scattering factors, no anomalous dispersion.

Atomic structure:
```
24
Lattice="10.9152 0.0000 0.0000 0.0000 5.8995 0.0000 -0.2384 0.0000 7.9101" Properties=species:S:1:pos:R:3 pbc="T T T"
Pr 1.3341 0.7779 2.5816
Pr 1.2148 2.1719 6.5367
Pr 3.7883 3.7415 3.6833
Pr 3.6691 5.1077 7.6384
Pr 7.0077 0.7918 0.2717
Pr 6.8885 2.1580 4.2268
Pr 9.4620 3.7276 1.3734
Pr 9.3427 5.1217 5.3285
Si 0.7265 3.7363 3.6770
Si 0.6073 5.1130 7.6321
Si 3.7439 0.8383 4.9384
Si 3.8631 2.1115 0.9833
Si 6.8137 3.7880 6.9268
Si 6.9329 5.0613 2.9718
Si 10.0696 0.7866 0.2780
Si 9.9503 2.1632 4.2331
Pd 1.7974 3.5890 1.4103
Pd 1.6782 5.2603 5.3653
Pd 4.8091 0.5893 2.6637
Pd 4.6899 2.3605 6.6188
Pd 5.9869 3.5390 1.2914
Pd 5.8677 5.3103 5.2465
Pd 8.9986 0.6393 2.5448
Pd 8.8794 2.3105 6.4999
```

The 12 most intense peaks (2θ from 5° to 70°), by angle:
two_theta, Rel. int.
23.70, 29
28.57, 36
30.74, 80
32.39, 100
32.84, 48
33.36, 38
33.99, 88
36.39, 78
37.36, 91
41.23, 83
48.55, 32
67.13, 30

3.
The following is a theoretical powder diffractogram of GdZr3F15. It was derived from a DFT-relaxed cell (GGA-PBE, the Materials Project), using λ = 1.5418 Å (Cu Kα).
Neutral-atom scattering factors, no anomalous dispersion.

Atomic structure:
```
38
Lattice="5.2906 -6.3397 0.0000 5.2906 6.3397 0.0000 -2.2622 0.0000 7.9189" Properties=species:S:1:pos:R:3 pbc="T T T"
Gd 3.5939 4.0923 5.9391
Gd 4.7250 -4.0923 1.9797
Zr 4.7250 3.1829 1.9797
Zr 1.5187 0.4421 5.3528
Zr 2.6498 -0.4421 1.3933
Zr 5.6692 0.4421 6.5255
Zr 6.8003 -0.4421 2.5661
Zr 3.5939 -3.1829 5.9391
F -0.2780 1.7062 6.1713
F 0.5225 1.3064 3.7526
F 1.0058 0.7640 1.1828
F 2.1038 2.4154 5.4083
F -0.1253 -0.7640 5.1422
F 3.2977 1.7022 1.7804
F 2.7363 3.1089 7.8987
F -0.6086 -1.3064 7.7120
F 0.8531 -1.7062 2.2119
F 4.4516 3.1089 3.9796
F 1.3717 0.2124 7.5006
F 2.5028 -0.2124 3.5412
F 5.0841 2.4154 6.4699
F 3.5939 0.4325 5.9391
F 2.1666 -1.7022 5.7398
F 6.1524 1.7022 2.1790
F 4.7250 -0.4325 1.9797
F 3.2349 -2.4154 1.4489
F 5.8162 0.2124 4.3777
F 6.9473 -0.2124 0.4183
F 3.8674 -3.1089 3.9393
F 7.4659 1.7062 5.7070
F 8.9276 1.3064 0.2069
F 5.5827 -3.1089 0.0202
F 5.0213 -1.7022 6.1385
F 8.4443 0.7640 2.7767
F 6.2152 -2.4154 2.5105
F 7.3132 -0.7640 6.7361
F 7.7965 -1.3064 4.1663
F 8.5970 -1.7062 1.7476
```

The 12 most intense peaks (2θ from 5° to 70°), by angle:
two_theta, Rel. int.
22.42, 100
22.81, 39
24.37, 16
27.22, 26
28.21, 14
30.41, 33
44.18, 14
44.31, 10
44.64, 17
45.13, 11
49.75, 17
52.15, 11

4.
The following is a theoretical powder diffractogram of Zr4Ni2N. It was derived from a DFT-relaxed cell (GGA-PBE, the Materials Project), using λ = 1.5418 Å (Cu Kα).
Neutral-atom scattering factors, no anomalous dispersion.

Atomic structure:
```
28
Lattice="0.0000 6.1380 6.1380 6.1380 0.0000 6.1380 6.1380 6.1380 0.0000" Properties=species:S:1:pos:R:3 pbc="T T T"
Zr 0.0000 0.0000 0.0000
Zr 3.0690 3.0690 0.0000
Zr 3.0690 0.0000 3.0690
Zr 4.6035 4.6035 2.3507
Zr 4.6035 2.3507 4.6035
Zr 6.8563 4.6035 4.6035
Zr 7.6725 7.6725 5.4197
Zr 7.6725 5.4197 7.6725
Zr 9.9253 7.6725 7.6725
Zr 0.0000 3.0690 3.0690
Zr 2.3507 4.6035 4.6035
Zr 4.6035 6.8563 4.6035
Zr 4.6035 4.6035 6.8563
Zr 5.4197 7.6725 7.6725
Zr 7.6725 9.9253 7.6725
Zr 7.6725 7.6725 9.9253
Ni 9.6461 5.6988 5.6988
Ni 2.6299 2.6299 2.6299
Ni 6.5771 6.5771 2.6299
Ni 6.5771 2.6299 6.5771
Ni 5.6988 9.6461 5.6988
Ni 5.6988 5.6988 9.6461
Ni 9.6461 9.6461 9.6461
Ni 2.6299 6.5771 6.5771
N 6.1380 3.0690 3.0690
N 3.0690 6.1380 3.0690
N 3.0690 3.0690 6.1380
N 6.1380 6.1380 6.1380
```

The 12 most intense peaks (2θ from 5° to 70°), by angle:
two_theta, Rel. int.
31.77, 20
35.84, 39
38.09, 100
41.62, 30
44.27, 5
49.24, 5
51.58, 5
57.68, 6
61.87, 5
64.40, 35
65.89, 11
69.80, 4

5.
The following is a theoretical powder diffractogram of Cs2KSiF7. It was derived from a DFT-relaxed cell (GGA-PBE, the Materials Project), using λ = 1.5418 Å (Cu Kα).
Neutral-atom scattering factors, no anomalous dispersion.

Atomic structure:
```
22
Lattice="5.7846 -5.8619 0.0000 5.7846 5.8619 0.0000 0.0000 0.0000 6.0675" Properties=species:S:1:pos:R:3 pbc="T T T"
Cs 2.8923 2.9310 3.0337
Cs 5.7846 3.5831 0.0000
Cs 2.8923 -2.9310 3.0337
Cs 5.7846 -3.5831 0.0000
K 3.5211 0.0000 0.0000
K 8.0480 0.0000 0.0000
Si 0.0000 0.0000 3.0337
Si 5.7846 0.0000 3.0337
F 2.8923 2.9310 0.0000
F 1.2238 0.0000 1.8082
F 1.2238 0.0000 4.2593
F 5.7846 4.1432 3.0337
F 4.0650 0.0000 3.0337
F 5.7846 1.2069 1.7990
F 5.7846 1.2069 4.2685
F 2.8923 -2.9310 0.0000
F 5.7846 -1.2069 1.7990
F 5.7846 -1.2069 4.2685
F 7.5041 0.0000 3.0337
F 5.7846 -4.1432 3.0337
F 10.3453 0.0000 1.8082
F 10.3453 0.0000 4.2593
```

The 12 most intense peaks (2θ from 5° to 70°), by angle:
two_theta, Rel. int.
15.11, 14
21.22, 25
26.16, 100
28.24, 14
29.44, 27
30.50, 15
30.92, 24
33.26, 17
34.58, 23
38.36, 19
43.22, 18
50.26, 15

6.
The following is a theoretical powder diffractogram of Zr2Co. It was derived from a DFT-relaxed cell (GGA-PBE, the Materials Project), using λ = 1.5418 Å (Cu Kα).
Neutral-atom scattering factors, no anomalous dispersion.

Atomic structure:
```
6
Lattice="-3.1778 3.1778 2.7676 3.1778 -3.1778 2.7676 3.1778 3.1778 -2.7676" Properties=species:S:1:pos:R:3 pbc="T T T"
Zr 4.2737 1.0959 0.0000
Zr 1.0959 2.0820 0.0000
Zr 2.0820 1.0959 2.7676
Zr -1.0959 2.0820 2.7676
Co 0.0000 0.0000 1.3838
Co 0.0000 0.0000 4.1513
```

The 12 most intense peaks (2θ from 5° to 70°), by angle:
two_theta, Rel. int.
28.08, 5
32.35, 13
35.50, 100
38.19, 23
40.13, 14
43.36, 42
45.11, 30
59.75, 21
62.55, 23
65.70, 4
67.71, 6
68.04, 6